# 1
Starting from a GGA-PBE-relaxed structure, the XRD peak list of AcLa5Pr2Nd was calculated for Cu Kα (λ = 1.5418 Å).
Kinematic intensities with the Lorentz-polarization factor, no thermal factor.

The 10 most intense peaks (10 to 90 degrees two-theta), sorted by position:
2θ = 27.33°, I = 84; 2θ = 29.49°, I = 100; 2θ = 32.67°, I = 15; 2θ = 35.40°, I = 12; 2θ = 35.55°, I = 15; 2θ = 40.73°, I = 21; 2θ = 45.10°, I = 12; 2θ = 49.70°, I = 24; 2θ = 53.58°, I = 20; 2θ = 75.06°, I = 11

Structural model:
Cell: 10.3520 10.3520 10.3520 Å, 127.12 127.12 78.06°
Sites, in units of the cell vectors:
Ac  0.2500  0.7500  0.5000
Ac  0.7500  0.2500  0.5000
La  0.0000  0.0000  0.0000
La  0.0753  0.5753  0.9173
La  0.1580  0.0753  0.5000
La  0.3420  0.8420  0.9173
La  0.4247  0.3420  0.5000
La  0.5000  0.5000  0.0000
La  0.5753  0.6580  0.5000
La  0.6580  0.1580  0.0827
La  0.8420  0.9247  0.5000
La  0.9247  0.4247  0.0827
Pr  0.1159  0.3841  0.5000
Pr  0.3841  0.8841  0.2682
Pr  0.6159  0.1159  0.7318
Pr  0.8841  0.6159  0.5000
Nd  0.2500  0.2500  0.0000
Nd  0.7500  0.7500  0.0000


# 2
Starting from a GGA-PBE-relaxed structure, the XRD peak list of Dy6AuS4 was calculated for Cu Kα (λ = 1.5418 Å).
Kinematic intensities with the Lorentz-polarization factor, no thermal factor.

The 10 most intense peaks (10 to 90 degrees two-theta), sorted by position:
2θ = 29.82°, I = 52; 2θ = 30.02°, I = 92; 2θ = 31.29°, I = 31; 2θ = 32.25°, I = 100; 2θ = 33.79°, I = 29; 2θ = 43.38°, I = 24; 2θ = 45.86°, I = 39; 2θ = 46.63°, I = 29; 2θ = 47.94°, I = 23; 2θ = 56.46°, I = 31

Structural model:
Cell: 6.7420 6.7420 20.1318 Å, 90.00 90.00 146.42°
Sites, in units of the cell vectors:
Dy  0.0000  0.0000  0.0000
Dy  0.0000  0.0000  0.5000
Dy  0.1683  0.8317  0.7500
Dy  0.2729  0.7271  0.0851
Dy  0.2729  0.7271  0.4149
Dy  0.4520  0.5480  0.6624
Dy  0.4520  0.5480  0.8376
Dy  0.5480  0.4520  0.1624
Dy  0.5480  0.4520  0.3376
Dy  0.7271  0.2729  0.5851
Dy  0.7271  0.2729  0.9149
Dy  0.8317  0.1683  0.2500
Au  0.1602  0.8398  0.2500
Au  0.8398  0.1602  0.7500
S  0.0903  0.9097  0.6229
S  0.0903  0.9097  0.8771
S  0.3617  0.6383  0.5393
S  0.3617  0.6383  0.9607
S  0.6383  0.3617  0.0393
S  0.6383  0.3617  0.4607
S  0.9097  0.0903  0.1229
S  0.9097  0.0903  0.3771